Entry 1:
For CaSmOs, DFT lattice parameters and positions (PBE) gives the calculated powder X-ray diffraction pattern in this record (Cu Kα X-rays).
Lines closer than 0.1° are merged.

Crystal structure
a = 7.1907 Å, b = 7.1907 Å, c = 8.1249 Å
α = 90.00°, β = 90.00°, γ = 121.96°
Positions (direct):
Ca  0.1956  0.8044  0.8947
Ca  0.3044  0.6956  0.3947
Ca  0.6956  0.3044  0.6053
Ca  0.8044  0.1956  0.1053
Sm  0.2067  0.2933  0.7500
Sm  0.2933  0.2067  0.2500
Sm  0.7067  0.7933  0.7500
Sm  0.7933  0.7067  0.2500
Os  0.0867  0.9133  0.5594
Os  0.4133  0.5867  0.0594
Os  0.5867  0.4133  0.9406
Os  0.9133  0.0867  0.4406

Largest 12 diffraction maxima, low angle first, 10° ≤ 2θ ≤ 80°:
| two_theta | intensity |
| --- | --- |
| 14.09 | 770 |
| 18.18 | 1000 |
| 31.32 | 342 |
| 33.29 | 267 |
| 33.87 | 515 |
| 36.11 | 413 |
| 36.85 | 314 |
| 39.68 | 278 |
| 40.18 | 196 |
| 44.14 | 154 |
| 52.13 | 141 |
| 65.34 | 147 |

---

Entry 2:
For CaSn3Os, DFT lattice parameters and positions (PBE) gives the calculated powder X-ray diffraction pattern in this record (Cu Kα X-rays).
Lines closer than 0.1° are merged.

Crystal structure
a = 5.2119 Å, b = 5.2119 Å, c = 5.2119 Å
α = 90.00°, β = 90.00°, γ = 90.00°
Positions (direct):
Ca  0.0000  0.0000  0.0000
Sn  0.0000  0.5000  0.5000
Sn  0.5000  0.0000  0.5000
Sn  0.5000  0.5000  0.0000
Os  0.5000  0.5000  0.5000

Largest 12 diffraction maxima, low angle first, 10° ≤ 2θ ≤ 80°:
| two_theta | intensity |
| --- | --- |
| 17.01 | 1000 |
| 24.15 | 151 |
| 29.69 | 251 |
| 34.41 | 919 |
| 38.63 | 542 |
| 49.46 | 668 |
| 52.69 | 286 |
| 58.76 | 112 |
| 61.65 | 233 |
| 64.46 | 128 |
| 72.55 | 110 |
| 75.16 | 168 |

---

Entry 3:
For CaTa2Os, DFT lattice parameters and positions (PBE) gives the calculated powder X-ray diffraction pattern in this record (Cu Kα X-rays).
Lines closer than 0.1° are merged.

Crystal structure
a = 5.6848 Å, b = 5.6848 Å, c = 5.6848 Å
α = 147.42°, β = 129.27°, γ = 61.60°
Positions (direct):
Ca  0.0000  0.0000  0.0000
Ta  0.4592  0.4592  0.0000
Ta  0.7232  0.2232  0.5000
Os  0.2499  0.7499  0.5000

Largest 12 diffraction maxima, low angle first, 10° ≤ 2θ ≤ 80°:
| two_theta | intensity |
| --- | --- |
| 18.17 | 122 |
| 20.38 | 214 |
| 36.87 | 536 |
| 38.45 | 1000 |
| 39.56 | 76 |
| 50.33 | 55 |
| 53.12 | 171 |
| 55.20 | 73 |
| 57.82 | 80 |
| 67.40 | 129 |
| 67.52 | 192 |
| 70.58 | 162 |